Calculated PXRD pattern
Compound: LaSmBr2
Radiation: copper Kα
Structure: a GGA-PBE-relaxed structure
Lines closer than 0.1° are merged.

Crystal structure
```
data_LaSmBr2
_cell_length_a 3.7330
_cell_length_b 3.7330
_cell_length_c 27.7345
_cell_angle_alpha 90.00
_cell_angle_beta 90.00
_cell_angle_gamma 120.00
_space_group_name_H-M_alt 'R 3 m'
_space_group_IT_number 160
_space_group_name_Hall 'R 3 -2"'
loop_
_atom_site_label
_atom_site_fract_x
_atom_site_fract_y
_atom_site_fract_z
La1 0.0000 0.0000 0.0000
Sm1 0.0000 0.0000 0.8355
Br1 0.0000 0.0000 0.4201
Br2 0.0000 0.0000 0.5823
```

The 10 most intense peaks (10° ≤ 2θ ≤ 90°), sorted by position:
hkl, 2θ (°), intensity
1 0 1, 27.8, 23
0 1 2, 28.3, 41
0 1 5, 32.0, 100
1 0 7, 35.9, 83
0 0 12, 39.0, 29
1 1 0, 48.8, 46
2 0 5, 59.6, 17
0 2 7, 62.0, 17
1 1 12, 64.1, 40
2 1 7, 82.6, 15

***

Calculated PXRD pattern
Compound: LiSbPb2
Radiation: copper Kα
Structure: a GGA-PBE-relaxed structure
Lines closer than 0.1° are merged.

Crystal structure
```
data_LiSbPb2
_cell_length_a 10.3570
_cell_length_b 3.3784
_cell_length_c 6.4800
_cell_angle_alpha 90.00
_cell_angle_beta 98.81
_cell_angle_gamma 90.00
_space_group_name_H-M_alt 'C 1 m 1'
_space_group_IT_number 8
_space_group_name_Hall 'C -2y'
loop_
_atom_site_label
_atom_site_fract_x
_atom_site_fract_y
_atom_site_fract_z
Li1 0.0000 0.0000 0.0000
Sb1 0.2345 0.5000 0.1728
Pb1 0.0009 0.5000 0.4669
Pb2 0.2528 0.0000 0.7429
```

The 10 most intense peaks (10° ≤ 2θ ≤ 90°), sorted by position:
hkl, 2θ (°), intensity
0 0 1, 13.8, 30
2 0 -1, 20.5, 33
2 0 1, 23.9, 35
1 1 0, 27.8, 29
2 0 -2, 30.6, 59
1 1 1, 31.8, 100
4 0 0, 35.1, 39
2 0 2, 35.3, 33
3 1 -1, 38.6, 62
1 1 -3, 50.2, 24

***

Calculated PXRD pattern
Compound: NaPr9Ge6O26
Radiation: copper Kα
Structure: a GGA-PBE-relaxed structure
Lines closer than 0.1° are merged.

Crystal structure
```
data_NaPr9Ge6O26
_cell_length_a 9.8954
_cell_length_b 9.8954
_cell_length_c 7.2463
_cell_angle_alpha 90.00
_cell_angle_beta 90.00
_cell_angle_gamma 120.00
_space_group_name_H-M_alt 'P 3'
_space_group_IT_number 143
_space_group_name_Hall 'P 3'
loop_
_atom_site_label
_atom_site_fract_x
_atom_site_fract_y
_atom_site_fract_z
Na1 0.0000 0.0000 0.0000
Pr1 0.0000 0.0000 0.4943
Pr2 0.0954 0.4376 0.7430
Pr3 0.1001 0.6741 0.2404
Pr4 0.6667 0.3333 0.4911
Pr5 0.6667 0.3333 0.9907
Ge1 0.3017 0.2629 0.7433
Ge2 0.3575 0.0642 0.2423
O1 0.0312 0.1862 0.2461
O2 0.0839 0.7668 0.5452
O3 0.0995 0.7411 0.9216
O4 0.2036 0.0582 0.7413
O5 0.3333 0.6667 0.2366
O6 0.3333 0.6667 0.7149
O7 0.4348 0.0157 0.0481
O8 0.4375 0.0154 0.4355
O9 0.4642 0.2726 0.2404
O10 0.5077 0.3454 0.7406
```

The 10 most intense peaks (10° ≤ 2θ ≤ 90°), sorted by position:
hkl, 2θ (°), intensity
0 0 2, 24.6, 21
0 1 2, 26.7, 22
2 1 0, 27.5, 26
2 1 1, 30.2, 100
1 1 2, 30.6, 45
3 0 0, 31.3, 27
2 2 2, 44.3, 24
3 -2 3, 46.9, 34
1 4 0, 48.7, 15
0 4 2, 49.4, 18

***

Calculated PXRD pattern
Compound: PdPb2WCl
Radiation: copper Kα
Structure: a GGA-PBE-relaxed structure
Lines closer than 0.1° are merged.

Crystal structure
```
data_PdPb2WCl
_cell_length_a 5.5298
_cell_length_b 5.5298
_cell_length_c 4.3450
_cell_angle_alpha 90.00
_cell_angle_beta 90.00
_cell_angle_gamma 90.00
_space_group_name_H-M_alt 'P 4/m m m'
_space_group_IT_number 123
_space_group_name_Hall '-P 4 2'
loop_
_atom_site_label
_atom_site_fract_x
_atom_site_fract_y
_atom_site_fract_z
Pd1 0.0000 0.0000 0.0000
Pb1 0.0000 0.5000 0.5000
W1 0.5000 0.5000 0.0000
Cl1 0.5000 0.5000 0.5000
```

The 10 most intense peaks (10° ≤ 2θ ≤ 90°), sorted by position:
hkl, 2θ (°), intensity
1 1 1, 30.8, 100
2 0 0, 32.4, 54
0 0 2, 41.6, 14
2 2 0, 46.4, 20
2 0 2, 53.7, 26
3 1 1, 56.7, 37
2 2 2, 64.1, 15
1 1 3, 69.2, 10
4 2 0, 77.1, 9
3 1 3, 87.4, 12

***

Calculated PXRD pattern
Compound: Mg3Cu8Sn
Radiation: copper Kα
Structure: a GGA-PBE-relaxed structure
Lines closer than 0.1° are merged.

Crystal structure
```
data_Mg3Cu8Sn
_cell_length_a 5.0289
_cell_length_b 5.0289
_cell_length_c 8.0252
_cell_angle_alpha 90.00
_cell_angle_beta 90.00
_cell_angle_gamma 120.00
_space_group_name_H-M_alt 'P 3 m 1'
_space_group_IT_number 156
_space_group_name_Hall 'P 3 -2"'
loop_
_atom_site_label
_atom_site_fract_x
_atom_site_fract_y
_atom_site_fract_z
Mg1 0.0000 0.0000 0.0000
Mg2 0.0000 0.0000 0.3732
Mg3 0.3333 0.6667 0.8814
Cu1 0.0055 0.5027 0.1872
Cu2 0.3280 0.1640 0.6924
Cu3 0.6667 0.3333 0.4375
Cu4 0.6667 0.3333 0.9413
Sn1 0.3333 0.6667 0.5010
```

The 10 most intense peaks (10° ≤ 2θ ≤ 90°), sorted by position:
hkl, 2θ (°), intensity
1 0 0, 20.4, 31
1 0 1, 23.2, 32
0 1 3, 39.5, 57
1 1 2, 42.4, 100
2 0 1, 43.0, 100
0 0 4, 45.2, 24
0 2 2, 47.5, 32
0 3 2, 68.8, 22
0 2 5, 73.3, 28
2 2 0, 75.6, 26

***

Calculated PXRD pattern
Compound: Rb3AsF7
Radiation: copper Kα
Structure: a GGA-PBE-relaxed structure
Lines closer than 0.1° are merged.

Crystal structure
```
data_Rb3AsF7
_cell_length_a 8.3105
_cell_length_b 8.3105
_cell_length_c 6.0665
_cell_angle_alpha 90.00
_cell_angle_beta 90.00
_cell_angle_gamma 90.00
_space_group_name_H-M_alt 'P 4/m b m'
_space_group_IT_number 127
_space_group_name_Hall '-P 4 2ab'
loop_
_atom_site_label
_atom_site_fract_x
_atom_site_fract_y
_atom_site_fract_z
Rb1 0.0000 0.0000 0.0000
Rb2 0.1917 0.3083 0.5000
As1 0.0000 0.5000 0.0000
F1 0.0000 0.0000 0.5000
F2 0.1132 0.6132 0.2287
F3 0.1634 0.3366 0.0000
```

The 10 most intense peaks (10° ≤ 2θ ≤ 90°), sorted by position:
hkl, 2θ (°), intensity
2 1 0, 23.9, 14
2 0 1, 26.0, 100
2 1 1, 28.2, 18
0 0 2, 29.4, 29
2 2 0, 30.4, 43
3 1 0, 34.1, 14
2 1 2, 38.3, 38
2 2 2, 42.9, 32
2 0 3, 50.2, 16
4 2 1, 51.4, 15

***

Calculated PXRD pattern
Compound: Sm2Ho4ThSc
Radiation: copper Kα
Structure: a GGA-PBE-relaxed structure
Lines closer than 0.1° are merged.

Crystal structure
```
data_Sm2Ho4ThSc
_cell_length_a 5.8324
_cell_length_b 5.8324
_cell_length_c 7.3302
_cell_angle_alpha 90.00
_cell_angle_beta 90.00
_cell_angle_gamma 90.00
_space_group_name_H-M_alt 'P 4/m m m'
_space_group_IT_number 123
_space_group_name_Hall '-P 4 2'
loop_
_atom_site_label
_atom_site_fract_x
_atom_site_fract_y
_atom_site_fract_z
Sm1 0.0000 0.0000 0.0000
Sm2 0.5000 0.5000 0.0000
Ho1 0.0000 0.5000 0.2572
Th1 0.0000 0.0000 0.5000
Sc1 0.5000 0.5000 0.5000
```

The 10 most intense peaks (10° ≤ 2θ ≤ 90°), sorted by position:
hkl, 2θ (°), intensity
2 0 0, 30.7, 59
1 1 2, 32.7, 100
2 2 0, 43.9, 22
0 0 4, 49.8, 8
3 1 2, 55.8, 44
2 0 4, 59.6, 18
2 2 4, 68.5, 12
4 2 0, 72.5, 10
3 3 2, 73.6, 10
5 1 2, 89.8, 12

***

Calculated PXRD pattern
Compound: Tb5Sm3Tm
Radiation: copper Kα
Structure: a GGA-PBE-relaxed structure
Lines closer than 0.1° are merged.

Crystal structure
```
data_Tb5Sm3Tm
_cell_length_a 16.4352
_cell_length_b 6.7138
_cell_length_c 11.4343
_cell_angle_alpha 90.00
_cell_angle_beta 109.54
_cell_angle_gamma 90.00
_space_group_name_H-M_alt 'C 1 2/c 1'
_space_group_IT_number 15
_space_group_name_Hall '-C 2yc'
loop_
_atom_site_label
_atom_site_fract_x
_atom_site_fract_y
_atom_site_fract_z
Tb1 0.0000 0.1818 0.2500
Tb2 0.1074 0.0037 0.0450
Tb3 0.1752 0.3839 0.3685
Sm1 0.0000 0.5000 0.0000
Sm2 0.2374 0.1208 0.8576
Tm1 0.0000 0.2730 0.7500
```

The 10 most intense peaks (10° ≤ 2θ ≤ 90°), sorted by position:
hkl, 2θ (°), intensity
3 1 2, 30.7, 30
5 1 -2, 31.1, 53
2 0 -4, 31.3, 100
0 2 2, 31.4, 58
5 1 0, 31.8, 17
4 0 2, 32.7, 28
6 0 -2, 33.1, 14
4 2 0, 35.4, 17
0 2 5, 50.3, 15
7 1 -6, 55.8, 20

***

Calculated PXRD pattern
Compound: TbNi4Au8
Radiation: copper Kα
Structure: a GGA-PBE-relaxed structure
Lines closer than 0.1° are merged.

Crystal structure
```
data_TbNi4Au8
_cell_length_a 9.0763
_cell_length_b 9.0763
_cell_length_c 5.2967
_cell_angle_alpha 90.00
_cell_angle_beta 90.00
_cell_angle_gamma 90.00
_space_group_name_H-M_alt 'I 4/m m m'
_space_group_IT_number 139
_space_group_name_Hall '-I 4 2'
loop_
_atom_site_label
_atom_site_fract_x
_atom_site_fract_y
_atom_site_fract_z
Tb1 0.0000 0.0000 0.0000
Ni1 0.2500 0.2500 0.2500
Au1 0.0000 0.2196 0.5000
Au2 0.0000 0.3322 0.0000
```

The 10 most intense peaks (10° ≤ 2θ ≤ 90°), sorted by position:
hkl, 2θ (°), intensity
2 2 0, 27.8, 25
0 0 2, 33.8, 32
3 0 1, 34.1, 34
2 0 2, 39.4, 16
4 0 0, 39.7, 100
2 2 2, 44.3, 43
4 1 1, 44.6, 28
3 2 3, 64.5, 16
6 0 2, 71.9, 14
6 3 1, 72.0, 24

***

Calculated PXRD pattern
Compound: CsSb4Pb6
Radiation: copper Kα
Structure: a GGA-PBE-relaxed structure
Lines closer than 0.1° are merged.

Crystal structure
```
data_CsSb4Pb6
_cell_length_a 5.1706
_cell_length_b 5.1706
_cell_length_c 31.8831
_cell_angle_alpha 90.00
_cell_angle_beta 90.00
_cell_angle_gamma 90.00
_space_group_name_H-M_alt 'I 4/m m m'
_space_group_IT_number 139
_space_group_name_Hall '-I 4 2'
loop_
_atom_site_label
_atom_site_fract_x
_atom_site_fract_y
_atom_site_fract_z
Cs1 0.0000 0.0000 0.0000
Sb1 0.0000 0.0000 0.1870
Sb2 0.0000 0.0000 0.4364
Pb1 0.0000 0.5000 0.1213
Pb2 0.0000 0.5000 0.2500
```

The 10 most intense peaks (10° ≤ 2θ ≤ 90°), sorted by position:
hkl, 2θ (°), intensity
1 0 5, 22.1, 24
1 1 2, 25.0, 21
1 1 6, 29.7, 23
1 1 8, 33.3, 100
2 0 0, 34.7, 62
2 0 8, 41.6, 26
2 2 0, 49.9, 22
2 0 16, 58.5, 26
3 1 8, 61.3, 35
2 2 16, 69.8, 20

***

Calculated PXRD pattern
Compound: Nd2Sn4Ru
Radiation: copper Kα
Structure: a GGA-PBE-relaxed structure
Lines closer than 0.1° are merged.

Crystal structure
```
data_Nd2Sn4Ru
_cell_length_a 4.6079
_cell_length_b 4.6554
_cell_length_c 17.0712
_cell_angle_alpha 90.00
_cell_angle_beta 90.00
_cell_angle_gamma 90.00
_space_group_name_H-M_alt 'A m m 2'
_space_group_IT_number 38
_space_group_name_Hall 'A 2 -2'
loop_
_atom_site_label
_atom_site_fract_x
_atom_site_fract_y
_atom_site_fract_z
Nd1 0.0000 0.0000 0.0000
Nd2 0.5000 0.0000 0.2052
Sn1 0.0000 0.0000 0.3649
Sn2 0.0000 0.0000 0.6446
Sn3 0.5000 0.0000 0.5271
Sn4 0.5000 0.0000 0.8652
Ru1 0.0000 0.0000 0.7952
```

The 10 most intense peaks (10° ≤ 2θ ≤ 90°), sorted by position:
hkl, 2θ (°), intensity
1 1 3, 31.5, 100
0 1 5, 32.5, 10
1 0 6, 37.1, 14
1 1 5, 38.1, 12
0 2 0, 38.7, 22
2 0 0, 39.1, 21
1 2 6, 54.7, 9
2 2 0, 56.2, 15
1 3 3, 65.6, 12
3 1 3, 66.1, 12

***

Calculated PXRD pattern
Compound: Mg2ScSe3
Radiation: copper Kα
Structure: a GGA-PBE-relaxed structure
Lines closer than 0.1° are merged.

Crystal structure
```
data_Mg2ScSe3
_cell_length_a 14.5803
_cell_length_b 3.8501
_cell_length_c 9.3867
_cell_angle_alpha 90.00
_cell_angle_beta 105.39
_cell_angle_gamma 90.00
_space_group_name_H-M_alt 'C 1 2/m 1'
_space_group_IT_number 12
_space_group_name_Hall '-C 2y'
loop_
_atom_site_label
_atom_site_fract_x
_atom_site_fract_y
_atom_site_fract_z
Mg1 0.1661 0.0000 0.3326
Mg2 0.1672 0.5000 0.8336
Sc1 0.0000 0.0000 0.5000
Sc2 0.0000 0.5000 0.0000
Se1 0.0264 0.5000 0.3024
Se2 0.1404 0.0000 0.0306
Se3 0.1952 0.0000 0.6401
```

The 10 most intense peaks (10° ≤ 2θ ≤ 90°), sorted by position:
hkl, 2θ (°), intensity
4 0 -2, 27.7, 14
4 0 1, 29.6, 49
3 1 0, 30.0, 100
2 0 -4, 38.4, 28
5 1 -1, 38.8, 51
3 1 3, 46.3, 37
0 2 0, 47.2, 18
5 1 -4, 50.5, 23
4 2 1, 56.7, 15
11 1 -1, 76.6, 16

***

Calculated PXRD pattern
Compound: RbSrMn2Br8
Radiation: copper Kα
Structure: a GGA-PBE-relaxed structure
Lines closer than 0.1° are merged.

Crystal structure
```
data_RbSrMn2Br8
_cell_length_a 7.1002
_cell_length_b 7.1002
_cell_length_c 10.3140
_cell_angle_alpha 90.00
_cell_angle_beta 90.00
_cell_angle_gamma 120.00
_space_group_name_H-M_alt 'P -3'
_space_group_IT_number 147
_space_group_name_Hall '-P 3'
loop_
_atom_site_label
_atom_site_fract_x
_atom_site_fract_y
_atom_site_fract_z
Rb1 0.0000 0.0000 0.0000
Sr1 0.0000 0.0000 0.5000
Mn1 0.3333 0.6667 0.7546
Br1 0.0007 0.6643 0.3116
Br2 0.3333 0.6667 0.9858
```

The 10 most intense peaks (10° ≤ 2θ ≤ 90°), sorted by position:
hkl, 2θ (°), intensity
0 1 1, 16.8, 26
1 0 2, 22.5, 17
0 0 3, 25.9, 29
1 1 1, 26.6, 100
2 -1 2, 30.6, 77
1 1 4, 43.4, 43
3 0 0, 44.2, 49
3 0 3, 51.9, 24
4 -2 1, 52.3, 15
2 2 2, 54.7, 15